1.
The following is a calculated X-ray powder pattern of ErHIBr. It was derived from DFT lattice parameters and positions (PBE), using CuKα.

Top 10 peaks for 2θ = 10–90°, by angle:
2θ/deg  I (rel.)
11.42  820
27.12  439
28.93  723
31.74  377
35.33  1000
44.20  165
46.77  444
59.95  216
68.39  263
79.30  194

Cell and atoms:
```
data_ErHIBr
_chemical_formula_sum 'Er2 H2 I2 Br2'
_symmetry_space_group_name_H-M 'P -3 m 1'
_symmetry_Int_Tables_number 164
_symmetry_space_group_name_Hall '-P 3 2"'
_cell_length_a 3.8844
_cell_length_b 3.8844
_cell_length_c 15.5002
_cell_angle_alpha 90.00
_cell_angle_beta 90.00
_cell_angle_gamma 120.00
loop_
_atom_site_label
_atom_site_type_symbol
_atom_site_fract_x
_atom_site_fract_y
_atom_site_fract_z
_atom_site_occupancy
Er1 Er 0.0000 0.0000 0.2443 1
H1 H 0.3333 0.6667 0.2476 1
I1 I 0.3333 0.6667 0.6182 1
Br1 Br 0.3333 0.6667 0.8762 1
```

2.
The following is a calculated X-ray powder pattern of HoErS2Br2. It was derived from DFT lattice parameters and positions (PBE), using CuKα.

Top 10 peaks for 2θ = 10–90°, by angle:
2θ/deg  I (rel.)
19.34  1000
29.47  416
29.61  863
33.70  335
39.66  145
40.93  427
44.93  148
45.46  526
49.34  174
57.32  143

Cell and atoms:
```
data_HoErS2Br2
_chemical_formula_sum 'Ho1 Er1 S2 Br2'
_symmetry_space_group_name_H-M 'P m m 2'
_symmetry_Int_Tables_number 25
_symmetry_space_group_name_Hall 'P 2 -2'
_cell_length_a 4.0351
_cell_length_b 5.3185
_cell_length_c 9.0895
_cell_angle_alpha 90.00
_cell_angle_beta 90.00
_cell_angle_gamma 90.00
loop_
_atom_site_label
_atom_site_type_symbol
_atom_site_fract_x
_atom_site_fract_y
_atom_site_fract_z
_atom_site_occupancy
Ho1 Ho 0.0000 0.0000 0.0000 1
Er1 Er 0.5000 0.5000 0.7460 1
S1 S 0.0000 0.5000 0.9467 1
S2 S 0.5000 0.0000 0.7974 1
Br1 Br 0.0000 0.5000 0.5311 1
Br2 Br 0.5000 0.0000 0.2163 1
```

3.
The following is a calculated X-ray powder pattern of KEr4BrO6. It was derived from DFT lattice parameters and positions (PBE), using CuKα.

Top 10 peaks for 2θ = 10–90°, by angle:
2θ/deg  I (rel.)
15.51  380
20.70  416
25.97  898
27.03  1000
34.29  501
37.84  216
47.12  346
47.76  214
50.76  373
55.74  178

Cell and atoms:
```
data_KEr4BrO6
_chemical_formula_sum 'K1 Er4 Br1 O6'
_symmetry_space_group_name_H-M 'P 6/m m m'
_symmetry_Int_Tables_number 191
_symmetry_space_group_name_Hall '-P 6 2'
_cell_length_a 6.5970
_cell_length_b 6.5970
_cell_length_c 8.5819
_cell_angle_alpha 90.00
_cell_angle_beta 90.00
_cell_angle_gamma 120.00
loop_
_atom_site_label
_atom_site_type_symbol
_atom_site_fract_x
_atom_site_fract_y
_atom_site_fract_z
_atom_site_occupancy
K1 K 0.0000 0.0000 0.0000 1
Er1 Er 0.3333 0.6667 0.2589 1
Br1 Br 0.0000 0.0000 0.5000 1
O1 O 0.0000 0.5000 0.1843 1
```